Entry 1:
TbBeZn2Au5: simulated powder XRD pattern (Cu Kα, 1.54184 Å), based on the PBE geometry in Alexandria.
Kinematic intensities with the Lorentz-polarization factor, no thermal factor.

Atomic structure:
Cell: 7.5126 7.5126 7.5126 Å, 145.42 132.79 59.83°
Fractional coordinates of all 9 atoms:
Tb 0.0000 0.0000 0.0000
Be 0.5000 0.5000 0.0000
Zn 0.3017 0.8017 0.5000
Zn 0.6983 0.1983 0.5000
Au 0.1023 0.3656 0.7367
Au 0.3710 0.6344 0.7367
Au 0.5000 0.0000 0.5000
Au 0.6290 0.3656 0.2633
Au 0.8977 0.6344 0.2633

Top 8 peaks for 10 to 90 degrees two-theta, in order of rising 2θ:
2θ = 28.68°, I 87.5
2θ = 36.67°, I 100.0
2θ = 40.07°, I 35.2
2θ = 40.39°, I 38.6
2θ = 40.84°, I 60.0
2θ = 58.79°, I 41.5
2θ = 62.25°, I 24.7
2θ = 76.09°, I 15.2


Entry 2:
ZrAl2Bi: simulated powder XRD pattern (Cu Kα, 1.54184 Å), based on the PBE geometry in Alexandria.
Kinematic intensities with the Lorentz-polarization factor, no thermal factor.

Atomic structure:
Cell: 7.9762 7.9762 5.9212 Å, 90.00 90.00 90.00°
Fractional coordinates of all 16 atoms:
Zr 0.0000 0.0000 0.0000
Zr 0.0000 0.5000 0.2500
Zr 0.5000 0.0000 0.7500
Zr 0.5000 0.5000 0.5000
Al 0.2496 0.2500 0.1250
Al 0.2504 0.2500 0.6250
Al 0.2500 0.7496 0.3750
Al 0.2500 0.7504 0.8750
Al 0.7500 0.2504 0.3750
Al 0.7500 0.2496 0.8750
Al 0.7504 0.7500 0.1250
Al 0.7496 0.7500 0.6250
Bi 0.0000 0.0000 0.5000
Bi 0.0000 0.5000 0.7500
Bi 0.5000 0.0000 0.2500
Bi 0.5000 0.5000 0.0000

Top 8 peaks for 10 to 90 degrees two-theta, in order of rising 2θ:
2θ = 18.66°, I 28.0
2θ = 22.29°, I 93.4
2θ = 31.73°, I 82.4
2θ = 34.21°, I 100.0
2θ = 45.49°, I 30.5
2θ = 47.35°, I 80.9
2θ = 58.13°, I 23.7
2θ = 67.76°, I 30.2


Entry 3:
CsTlBiPb2: simulated powder XRD pattern (Cu Kα, 1.54184 Å), based on the PBE geometry in Alexandria.
Kinematic intensities with the Lorentz-polarization factor, no thermal factor.

Atomic structure:
Cell: 5.2527 5.2888 14.3758 Å, 90.00 90.00 90.00°
Fractional coordinates of all 10 atoms:
Cs 0.0000 0.0000 0.0000
Cs 0.5000 0.5000 0.5000
Tl 0.0000 0.0000 0.3844
Tl 0.5000 0.5000 0.8844
Bi 0.0000 0.5000 0.7471
Bi 0.5000 0.0000 0.2471
Pb 0.0000 0.0000 0.6183
Pb 0.0000 0.5000 0.2491
Pb 0.5000 0.0000 0.7491
Pb 0.5000 0.5000 0.1183

Top 8 peaks for 10 to 90 degrees two-theta, in order of rising 2θ:
2θ = 12.31°, I 24.1
2θ = 25.12°, I 48.1
2θ = 26.95°, I 100.0
2θ = 33.90°, I 36.7
2θ = 34.14°, I 36.0
2θ = 34.67°, I 71.1
2θ = 35.57°, I 33.0
2θ = 48.88°, I 26.7


Entry 4:
NaCu4F12: simulated powder XRD pattern (Cu Kα, 1.54184 Å), based on the PBE geometry in Alexandria.
Kinematic intensities with the Lorentz-polarization factor, no thermal factor.

Atomic structure:
Cell: 6.5613 6.5613 6.5613 Å, 109.47 109.47 109.47°
Fractional coordinates of all 17 atoms:
Na 0.0000 0.0000 0.0000
Cu 0.0000 0.0000 0.5000
Cu 0.0000 0.5000 0.0000
Cu 0.5000 0.0000 0.0000
Cu 0.5000 0.5000 0.5000
F 0.0573 0.7868 0.2706
F 0.2132 0.2706 0.4838
F 0.2132 0.7294 0.9427
F 0.2706 0.0573 0.7868
F 0.2706 0.4838 0.2132
F 0.4838 0.2132 0.2706
F 0.5162 0.7868 0.7294
F 0.7294 0.5162 0.7868
F 0.7294 0.9427 0.2132
F 0.7868 0.2706 0.0573
F 0.7868 0.7294 0.5162
F 0.9427 0.2132 0.7294

Top 8 peaks for 10 to 90 degrees two-theta, in order of rising 2θ:
2θ = 23.48°, I 100.0
2θ = 33.45°, I 37.8
2θ = 48.03°, I 30.9
2θ = 54.14°, I 36.0
2θ = 59.80°, I 18.6
2θ = 70.28°, I 14.2
2θ = 75.25°, I 13.6
2θ = 80.11°, I 6.0